This entry pairs a crystal structure of Y2Sc with its computed X-ray powder pattern. Radiation: a wavelength of 1.5418 Å. Structure: a PBE-relaxed structure.
Peak positions follow from Bragg's law for the DFT cell and can differ from measured ones.

Crystal structure
```
12
Lattice="4.8661 0.0000 0.0000 0.0000 14.7407 0.0000 0.0000 0.0000 4.9471" Properties=species:S:1:pos:R:3 pbc="T T T"
Y 0.0000 1.1790 1.2368
Y 0.0000 3.6526 3.7103
Y 0.0000 11.0881 1.2368
Y 0.0000 13.5617 3.7103
Y 2.4331 3.7178 1.2368
Y 2.4331 6.1913 3.7103
Y 2.4331 8.5493 1.2368
Y 2.4331 11.0229 3.7103
Sc 0.0000 6.1722 1.2368
Sc 0.0000 8.5684 3.7103
Sc 2.4331 1.1981 3.7103
Sc 2.4331 13.5426 1.2368
```

The 10 most intense peaks (2θ from 10° to 80°), sorted by position:
31.57 deg, rel. 100, (1 3 1)
36.32 deg, rel. 17, (0 0 2)
36.58 deg, rel. 16, (0 6 0)
36.95 deg, rel. 16, (2 0 0)
52.50 deg, rel. 11, (0 6 2)
52.78 deg, rel. 11, (2 0 2)
52.97 deg, rel. 11, (2 6 0)
62.39 deg, rel. 13, (1 3 3)
62.73 deg, rel. 13, (1 9 1)
63.23 deg, rel. 13, (3 3 1)